# MgTi3ZnNiO9
Simulated X-ray powder pattern, Cu Kα. Input: a PBE+U-relaxed structure.
Intensities are scaled so that the largest is 100.

Structural model:
abc: 5.0989 5.0989 14.0380
angles: 90.00 90.00 120.00
Space group P3 (No. 143)
Inequivalent atoms, fractional coordinates:
1 Mg 0.0000 0.0000 0.0000 (multiplicity 1)
2 Mg 0.3333 0.6667 0.6683 (multiplicity 1)
3 Ti 0.0000 0.0000 0.2090 (multiplicity 1)
4 Ti 0.0000 0.0000 0.5000 (multiplicity 1)
5 Ti 0.3333 0.6667 0.1638 (multiplicity 1)
6 Ti 0.3333 0.6667 0.8777 (multiplicity 1)
7 Ti 0.6667 0.3333 0.5438 (multiplicity 1)
8 Ti 0.6667 0.3333 0.8306 (multiplicity 1)
9 Zn 0.3333 0.6667 0.3804 (multiplicity 1)
10 Zn 0.6667 0.3333 0.3266 (multiplicity 1)
11 Ni 0.0000 0.0000 0.7059 (multiplicity 1)
12 Ni 0.6667 0.3333 0.0380 (multiplicity 1)
13 O 0.0178 0.6490 0.7751 (multiplicity 3)
14 O 0.0179 0.7019 0.1072 (multiplicity 3)
15 O 0.0384 0.3501 0.2663 (multiplicity 3)
16 O 0.3171 0.0205 0.6021 (multiplicity 3)
17 O 0.3498 0.3121 0.4429 (multiplicity 3)
18 O 0.3711 0.0172 0.9345 (multiplicity 3)

The 8 most intense peaks (2θ from 10° to 90°), by angle:
| d (Å) | 2θ (°) | intensity | hkl |
| --- | --- | --- | --- |
| 3.738 | 23.81 | 35 | 0 1 2 |
| 2.747 | 32.59 | 100 | 1 0 4 |
| 2.549 | 35.20 | 66 | 1 1 0 |
| 2.239 | 40.29 | 25 | 1 1 3 |
| 1.869 | 48.73 | 39 | 0 2 4 |
| 1.724 | 53.13 | 49 | 2 -1 6 |
| 1.507 | 61.52 | 34 | 3 -1 4 |
| 1.472 | 63.17 | 34 | 3 0 0 |